Record 1
Theoretical powder XRD pattern of AlRu for Cu Ka, from the GGA-PBE geometry in the Materials Project.
Lines closer than 0.1° are merged.

Largest 6 diffraction maxima, sorted by position, 2θ = 15–90°:
d_spacing, I (rel.)
3.005, 46
2.125, 100
1.735, 12
1.503, 16
1.344, 15
1.227, 33

Atomic structure:
abc: 3.0055 3.0055 3.0055
angles: 90.00 90.00 90.00
Atoms (fractional coordinates):
1 Al 0.0000 0.0000 0.0000
2 Ru 0.5000 0.5000 0.5000

=====

Record 2
Theoretical powder XRD pattern of Al12Ru for Cu Ka, from the GGA-PBE geometry in the Materials Project.
Lines closer than 0.1° are merged.

Largest 10 diffraction maxima, sorted by position, 2θ = 15–90°:
d_spacing, I (rel.)
3.165, 13
2.741, 16
2.303, 10
2.238, 100
2.024, 17
1.862, 14
1.400, 9
1.343, 10
1.292, 16
1.169, 9

Atomic structure:
abc: 9.4945 9.4945 9.4945
angles: 90.00 90.00 90.00
Atoms (fractional coordinates):
1 Al 0.0000 0.0000 0.3521
2 Al 0.0000 0.0000 0.6479
3 Al 0.0000 0.3521 0.0000
4 Al 0.0000 0.6479 0.0000
5 Al 0.0440 0.3044 0.3044
6 Al 0.0440 0.6956 0.6956
7 Al 0.1383 0.5000 0.5000
8 Al 0.1531 0.1531 0.8469
9 Al 0.1531 0.8469 0.1531
10 Al 0.1971 0.1971 0.5534
11 Al 0.1971 0.4466 0.8029
12 Al 0.1971 0.5534 0.1971
13 Al 0.1971 0.8029 0.4466
14 Al 0.3044 0.0440 0.3044
15 Al 0.3044 0.3044 0.0440
16 Al 0.3044 0.6956 0.9560
17 Al 0.3044 0.9560 0.6956
18 Al 0.3302 0.3302 0.3302
19 Al 0.3302 0.6698 0.6698
20 Al 0.3521 0.0000 0.0000
21 Al 0.3990 0.3990 0.6010
22 Al 0.3990 0.6010 0.3990
23 Al 0.4466 0.1971 0.8029
24 Al 0.4466 0.8029 0.1971
25 Al 0.5000 0.1383 0.5000
26 Al 0.5000 0.5000 0.1383
27 Al 0.5000 0.5000 0.8617
28 Al 0.5000 0.8617 0.5000
29 Al 0.5534 0.1971 0.1971
30 Al 0.5534 0.8029 0.8029
31 Al 0.6010 0.3990 0.3990
32 Al 0.6010 0.6010 0.6010
33 Al 0.6479 0.0000 0.0000
34 Al 0.6698 0.3302 0.6698
35 Al 0.6698 0.6698 0.3302
36 Al 0.6956 0.0440 0.6956
37 Al 0.6956 0.3044 0.9560
38 Al 0.6956 0.6956 0.0440
39 Al 0.6956 0.9560 0.3044
40 Al 0.8029 0.1971 0.4466
41 Al 0.8029 0.4466 0.1971
42 Al 0.8029 0.5534 0.8029
43 Al 0.8029 0.8029 0.5534
44 Al 0.8469 0.1531 0.1531
45 Al 0.8469 0.8469 0.8469
46 Al 0.8617 0.5000 0.5000
47 Al 0.9560 0.3044 0.6956
48 Al 0.9560 0.6956 0.3044
49 Ru 0.1170 0.1170 0.1170
50 Ru 0.1170 0.8830 0.8830
51 Ru 0.8830 0.1170 0.8830
52 Ru 0.8830 0.8830 0.1170

=====

Record 3
Theoretical powder XRD pattern of Al13Ru4 for Cu Ka, from the GGA-PBE geometry in the Materials Project.
Lines closer than 0.1° are merged.

Largest 10 diffraction maxima, sorted by position, 2θ = 15–90°:
d_spacing, I (rel.)
4.063, 74
3.789, 76
3.613, 89
3.407, 57
2.155, 100
2.149, 83
2.097, 88
2.091, 74
2.081, 73
2.055, 72

Atomic structure:
abc: 8.9707 8.9707 12.7990
angles: 105.74 105.74 54.52
Atoms (fractional coordinates):
1 Al 0.0000 0.0000 0.0000
2 Al 0.0186 0.0186 0.6704
3 Al 0.0832 0.6509 0.6090
4 Al 0.0868 0.6412 0.9805
5 Al 0.0938 0.5344 0.3902
6 Al 0.0993 0.5429 0.1647
7 Al 0.1776 0.1776 0.2169
8 Al 0.1901 0.1901 0.7263
9 Al 0.2234 0.7579 0.8295
10 Al 0.2421 0.7766 0.1705
11 Al 0.2495 0.7505 0.5000
12 Al 0.2606 0.2606 0.5431
13 Al 0.2641 0.2641 0.9609
14 Al 0.3491 0.9168 0.3910
15 Al 0.3588 0.9132 0.0195
16 Al 0.4177 0.4177 0.7142
17 Al 0.4279 0.4279 0.9198
18 Al 0.4324 0.4324 0.3254
19 Al 0.4571 0.9007 0.8353
20 Al 0.4656 0.9062 0.6098
21 Al 0.5344 0.0938 0.3902
22 Al 0.5429 0.0993 0.1647
23 Al 0.5676 0.5676 0.6746
24 Al 0.5721 0.5721 0.0802
25 Al 0.5823 0.5823 0.2858
26 Al 0.6412 0.0868 0.9805
27 Al 0.6509 0.0832 0.6090
28 Al 0.7359 0.7359 0.0391
29 Al 0.7394 0.7394 0.4569
30 Al 0.7505 0.2495 0.5000
31 Al 0.7579 0.2234 0.8295
32 Al 0.7766 0.2421 0.1705
33 Al 0.8099 0.8099 0.2737
34 Al 0.8224 0.8224 0.7831
35 Al 0.9007 0.4571 0.8353
36 Al 0.9062 0.4656 0.6098
37 Al 0.9132 0.3588 0.0195
38 Al 0.9168 0.3491 0.3910
39 Al 0.9814 0.9814 0.3296
40 Ru 0.0986 0.0986 0.8755
41 Ru 0.0995 0.0995 0.5153
42 Ru 0.1156 0.5231 0.7784
43 Ru 0.4081 0.4081 0.5124
44 Ru 0.4147 0.4147 0.1170
45 Ru 0.4769 0.8844 0.2216
46 Ru 0.5231 0.1156 0.7784
47 Ru 0.5853 0.5853 0.8830
48 Ru 0.5919 0.5919 0.4876
49 Ru 0.8844 0.4769 0.2216
50 Ru 0.9005 0.9005 0.4847
51 Ru 0.9014 0.9014 0.1245

=====

Record 4
Theoretical powder XRD pattern of Al6Ru for Cu Ka, from the GGA-PBE geometry in the Materials Project.
Lines closer than 0.1° are merged.

Largest 10 diffraction maxima, sorted by position, 2θ = 15–90°:
d_spacing, I (rel.)
4.938, 100
4.520, 45
3.751, 30
3.334, 76
2.261, 64
2.219, 29
2.167, 86
2.099, 43
2.076, 95
2.055, 60

Atomic structure:
abc: 4.9827 4.9827 9.0391
angles: 90.00 90.00 82.33
Atoms (fractional coordinates):
1 Al 0.0219 0.6181 0.2500
2 Al 0.1405 0.8595 0.5996
3 Al 0.1405 0.8595 0.9004
4 Al 0.3192 0.3192 0.0000
5 Al 0.3192 0.3192 0.5000
6 Al 0.3819 0.9781 0.2500
7 Al 0.6181 0.0219 0.7500
8 Al 0.6808 0.6808 0.0000
9 Al 0.6808 0.6808 0.5000
10 Al 0.8595 0.1405 0.0996
11 Al 0.8595 0.1405 0.4004
12 Al 0.9781 0.3819 0.7500
13 Ru 0.4636 0.5364 0.7500
14 Ru 0.5364 0.4636 0.2500

=====

Record 5
Theoretical powder XRD pattern of Sc2Al3Ru for Cu Ka, from the GGA-PBE geometry in the Materials Project.
Lines closer than 0.1° are merged.

Largest 10 diffraction maxima, sorted by position, 2θ = 15–90°:
d_spacing, I (rel.)
4.592, 44
4.276, 19
3.129, 19
2.651, 56
2.422, 25
2.253, 100
2.217, 22
2.023, 22
1.938, 19
1.441, 23

Atomic structure:
abc: 5.3021 5.3021 8.5518
angles: 90.00 90.00 120.00
Atoms (fractional coordinates):
1 Sc 0.3333 0.6667 0.0555
2 Sc 0.3333 0.6667 0.4445
3 Sc 0.6667 0.3333 0.5555
4 Sc 0.6667 0.3333 0.9445
5 Al 0.1651 0.3302 0.7500
6 Al 0.1651 0.8349 0.7500
7 Al 0.3302 0.1651 0.2500
8 Al 0.6698 0.8349 0.7500
9 Al 0.8349 0.1651 0.2500
10 Al 0.8349 0.6698 0.2500
11 Ru 0.0000 0.0000 0.0000
12 Ru 0.0000 0.0000 0.5000

=====

Record 6
Theoretical powder XRD pattern of Sc6Al16Ru7 for Cu Ka, from the GGA-PBE geometry in the Materials Project.
Lines closer than 0.1° are merged.

Largest 10 diffraction maxima, sorted by position, 2θ = 15–90°:
d_spacing, I (rel.)
3.572, 39
3.094, 36
2.526, 12
2.381, 16
2.187, 100
1.865, 33
1.547, 11
1.383, 13
1.263, 21
1.191, 13

Atomic structure:
abc: 8.7498 8.7498 8.7498
angles: 60.00 60.00 60.00
Atoms (fractional coordinates):
1 Sc 0.2101 0.2101 0.7899
2 Sc 0.2101 0.7899 0.2101
3 Sc 0.2101 0.7899 0.7899
4 Sc 0.7899 0.2101 0.2101
5 Sc 0.7899 0.2101 0.7899
6 Sc 0.7899 0.7899 0.2101
7 Al 0.1386 0.6205 0.6205
8 Al 0.1637 0.1637 0.1637
9 Al 0.1637 0.1637 0.5088
10 Al 0.1637 0.5088 0.1637
11 Al 0.3795 0.3795 0.3795
12 Al 0.3795 0.3795 0.8614
13 Al 0.3795 0.8614 0.3795
14 Al 0.4912 0.8363 0.8363
15 Al 0.5088 0.1637 0.1637
16 Al 0.6205 0.1386 0.6205
17 Al 0.6205 0.6205 0.1386
18 Al 0.6205 0.6205 0.6205
19 Al 0.8363 0.4912 0.8363
20 Al 0.8363 0.8363 0.4912
21 Al 0.8363 0.8363 0.8363
22 Al 0.8614 0.3795 0.3795
23 Ru 0.0000 0.0000 0.5000
24 Ru 0.0000 0.5000 0.0000
25 Ru 0.0000 0.5000 0.5000
26 Ru 0.5000 0.0000 0.0000
27 Ru 0.5000 0.0000 0.5000
28 Ru 0.5000 0.5000 0.0000
29 Ru 0.5000 0.5000 0.5000

=====

Record 7
Theoretical powder XRD pattern of AlSiRu2 for Cu Ka, from the GGA-PBE geometry in the Materials Project.
Lines closer than 0.1° are merged.

Largest 6 diffraction maxima, sorted by position, 2θ = 15–90°:
d_spacing, I (rel.)
2.964, 45
2.096, 100
1.711, 12
1.482, 16
1.326, 15
1.210, 33

Atomic structure:
abc: 5.9279 5.9279 5.9279
angles: 90.00 90.00 90.00
Atoms (fractional coordinates):
1 Al 0.0000 0.0000 0.0000
2 Al 0.0000 0.5000 0.5000
3 Al 0.5000 0.0000 0.5000
4 Al 0.5000 0.5000 0.0000
5 Si 0.0000 0.0000 0.5000
6 Si 0.0000 0.5000 0.0000
7 Si 0.5000 0.0000 0.0000
8 Si 0.5000 0.5000 0.5000
9 Ru 0.2500 0.2500 0.2500
10 Ru 0.2500 0.2500 0.7500
11 Ru 0.2500 0.7500 0.2500
12 Ru 0.2500 0.7500 0.7500
13 Ru 0.7500 0.2500 0.2500
14 Ru 0.7500 0.2500 0.7500
15 Ru 0.7500 0.7500 0.2500
16 Ru 0.7500 0.7500 0.7500